Diffraction record for K3MoAs2O8. The XRD peak list is computed, not measured: it uses a crystal structure in Alexandria, relaxed with GGA+U and Cu Kα, 1.54184 Å.

Principal peaks in the range 2θ = 15–90°, in order of rising 2θ:
Position (°2θ)	I_rel	index
21.11	54	1 0 1
29.16	87	0 1 2
30.88	100	1 1 0
42.99	44	2 0 2
53.86	28	1 2 2
54.91	18	3 0 0
57.30	29	1 1 4
64.33	18	2 2 0
72.16	12	3 1 2
75.12	13	3 0 4

Crystal structure
```
K3MoAs2O8
1.0
5.792 0.000 0.000
-2.896 5.016 0.000
0.000 0.000 7.733
K Mo As O
3 1 2 8
Direct
0.000 0.000 0.000
0.333 0.667 0.707
0.667 0.333 0.293
0.000 0.000 0.500
0.333 0.667 0.253
0.667 0.333 0.747
0.171 0.342 0.329
0.171 0.829 0.329
0.333 0.667 0.037
0.342 0.171 0.671
0.658 0.829 0.329
0.667 0.333 0.963
0.829 0.171 0.671
0.829 0.658 0.671
```